This entry pairs a crystal structure of GeWO4 with its theoretical powder XRD pattern. Radiation: Cu Kα (λ = 1.5418 Å). Structure: a cell relaxed with PBE+U.

Main lines, in order of falling intensity (2θ from 10° to 80°):
- d 3.420, I 100, hkl 2 1 0
- d 3.824, I 52, hkl 2 0 0
- d 2.044, I 39, hkl 3 1 2
- d 5.408, I 29, hkl 1 1 0
- d 1.500, I 28, hkl 4 3 1
- d 3.122, I 27, hkl 2 1 1
- d 1.855, I 26, hkl 4 1 0
- d 2.549, I 18, hkl 2 2 1
- d 1.472, I 14, hkl 3 3 3
- d 1.669, I 13, hkl 4 1 2
- d 1.803, I 12, hkl 4 1 1
- d 2.704, I 11, hkl 2 2 0

Atomic structure:
a = 7.647 Å, b = 7.647 Å, c = 7.647 Å
α = 90.00°, β = 90.00°, γ = 90.00°
Space group P2_13 (No. 198)
Asymmetric unit:
Ge 0.195 0.305 0.695 [4 per cell]
W 0.167 0.167 0.167 [4 per cell]
O 0.053 0.656 0.237 [12 per cell]
O 0.200 0.700 0.800 [4 per cell]